Structure and theoretical powder diffraction line list of TbFe2B2 (the PBE geometry in the Materials Project; Cu Kα (λ = 1.5418 Å)).
Intensities are scaled so that the largest is 100.

Top 6 peaks for 15° ≤ 2θ ≤ 90°, by angle:
hkl 1 0 1, 2θ 26.32, I = 92; hkl 1 0 3, 2θ 37.88, I = 48; hkl 0 0 4, 2θ 38.19, I = 28; hkl 1 1 2, 2θ 40.01, I = 100; hkl 2 0 0, 2θ 50.30, I = 29; hkl 2 0 4, 2θ 64.86, I = 23

Crystal structure
```
data_TbFe2B2
_cell_length_a 3.628
_cell_length_b 3.628
_cell_length_c 9.426
_cell_angle_alpha 90.00
_cell_angle_beta 90.00
_cell_angle_gamma 90.00
_space_group_name_H-M_alt 'P 1'
_space_group_IT_number 1
loop_
_space_group_symop_operation_xyz
'x,y,z'
loop_
_atom_site_label
_atom_site_type_symbol
_atom_site_fract_x
_atom_site_fract_y
_atom_site_fract_z
Tb1 Tb 0.000 0.000 0.000
Tb2 Tb 0.500 0.500 0.500
Fe1 Fe 0.000 0.500 0.250
Fe2 Fe 0.000 0.500 0.750
Fe3 Fe 0.500 0.000 0.250
Fe4 Fe 0.500 0.000 0.750
B1 B 0.000 0.000 0.338
B2 B 0.000 0.000 0.662
B3 B 0.500 0.500 0.162
B4 B 0.500 0.500 0.838
```